No. 1
# CoWAuC2
Theoretical powder XRD pattern, copper Kα. Input: a GGA-PBE-relaxed structure.

Cell and atoms:
abc: 3.9650 3.9650 5.2859
angles: 90.00 90.00 90.00
Atoms (fractional coordinates):
Co: 0.0000 0.0000 0.0000
W: 0.5000 0.5000 0.5000
Au: 0.5000 0.5000 0.0000
C: 0.0000 0.5000 0.5000
C: 0.5000 0.0000 0.5000

Peak list (10 most intense, 5 to 70 degrees two-theta, in order of rising 2θ)
hkl 1 0 0, 22.4 deg, I 100; hkl 1 1 0, 31.9 deg, I 74; hkl 0 0 2, 33.9 deg, I 39; hkl 1 0 2, 41.0 deg, I 43; hkl 2 0 0, 45.8 deg, I 33; hkl 1 1 2, 47.3 deg, I 51; hkl 2 1 0, 51.5 deg, I 23; hkl 2 0 2, 58.2 deg, I 32; hkl 2 1 2, 63.1 deg, I 25; hkl 2 2 0, 66.7 deg, I 11

***

No. 2
# Pu4Bi8Rh3
Theoretical powder XRD pattern, copper Kα. Input: a GGA-PBE-relaxed structure.

Cell and atoms:
abc: 4.5836 4.6164 18.7649
angles: 90.00 90.03 90.00
Atoms (fractional coordinates):
Pu: 0.0000 0.0000 0.0000
Pu: 0.0005 0.0007 0.5058
Pu: 0.4996 0.5004 0.2794
Pu: 0.5011 0.5006 0.7851
Bi: 0.9999 0.0001 0.3040
Bi: 0.0013 0.0007 0.8122
Bi: 0.0006 0.5009 0.6472
Bi: 0.4997 0.0000 0.1386
Bi: 0.4997 0.5000 0.9725
Bi: 0.5002 0.5009 0.4814
Bi: 0.5007 0.0009 0.6465
Bi: 0.9995 0.5000 0.1382
Rh: 0.9996 0.4998 0.3920
Rh: 0.5005 0.0012 0.3934
Rh: 0.5015 0.0000 0.8932

Peak list (10 most intense, 5 to 70 degrees two-theta, in order of rising 2θ)
hkl 0 0 6, 28.5 deg, I 40; hkl 1 1 2, 29.1 deg, I 55; hkl 1 1 -4, 33.5 deg, I 100; hkl 1 1 4, 33.5 deg, I 98; hkl 0 2 0, 39.0 deg, I 46; hkl 2 0 0, 39.3 deg, I 46; hkl 2 2 0, 56.6 deg, I 53; hkl 2 2 -6, 64.6 deg, I 21; hkl 1 3 -4, 67.2 deg, I 27; hkl 3 1 -4, 67.6 deg, I 34

***

No. 3
# Th4Sb3Se
Theoretical powder XRD pattern, copper Kα. Input: a GGA-PBE-relaxed structure.

Cell and atoms:
abc: 7.6681 8.8354 7.7202
angles: 90.00 109.26 90.00
Atoms (fractional coordinates):
Th: 0.2320 0.1169 0.4987
Th: 0.2320 0.8831 0.9987
Th: 0.2416 0.3651 0.9922
Th: 0.2416 0.6349 0.4922
Th: 0.7584 0.3651 0.5078
Th: 0.7584 0.6349 0.0078
Th: 0.7680 0.1169 0.0013
Th: 0.7680 0.8831 0.5013
Sb: 0.0000 0.3768 0.2500
Sb: 0.0000 0.6232 0.7500
Sb: 0.5000 0.1232 0.2500
Sb: 0.5000 0.3745 0.7500
Sb: 0.5000 0.6255 0.2500
Sb: 0.5000 0.8768 0.7500
Se: 0.0000 0.1251 0.7500
Se: 0.0000 0.8749 0.2500

Peak list (10 most intense, 5 to 70 degrees two-theta, in order of rising 2θ)
hkl 1 2 -1, 24.6 deg, I 15; hkl 2 0 -2, 28.5 deg, I 100; hkl 1 2 -3, 40.6 deg, I 39; hkl 0 4 0, 40.8 deg, I 37; hkl 0 0 4, 50.1 deg, I 7; hkl 4 0 0, 50.4 deg, I 7; hkl 2 4 -2, 50.5 deg, I 13; hkl 4 0 -4, 58.9 deg, I 13; hkl 3 2 -5, 66.5 deg, I 18; hkl 5 2 -3, 66.8 deg, I 11